# Sm2NbInO7
Calculated powder XRD pattern, Cu Kα X-rays. Input: a crystal structure in the Materials Project, relaxed with GGA-PBE.
No peak broadening, texture or thermal motion is included.

Structural model:
```
data_Sm2NbInO7
_chemical_formula_sum 'Sm8 Nb4 In4 O28'
_space_group_name_H-M_alt 'I m m a'
_space_group_IT_number 74
_space_group_name_Hall '-I 2b 2'
_cell_length_a 7.4244
_cell_length_b 7.6470
_cell_length_c 10.6533
_cell_angle_alpha 90.00
_cell_angle_beta 90.00
_cell_angle_gamma 90.00
loop_
_atom_site_label
_atom_site_type_symbol
_atom_site_fract_x
_atom_site_fract_y
_atom_site_fract_z
Sm1 Sm 0.0000 0.0000 0.0000
Sm2 Sm 0.2500 0.2500 0.2500
Nb1 Nb 0.0000 0.0000 0.5000
In1 In 0.2500 0.2500 0.7500
O1 O 0.0000 0.2500 0.1289
O2 O 0.0000 0.2500 0.4380
O3 O 0.0000 0.2500 0.8543
O4 O 0.2004 0.0260 0.6248
```

Most intense lines, 10° ≤ 2θ ≤ 90°, low angle first:
| 2θ (°) | I/Imax | hkl |
| --- | --- | --- |
| 28.74 | 99.8 | 0 2 2 |
| 29.33 | 100.0 | 2 0 2 |
| 33.65 | 65.2 | 0 0 4 |
| 47.56 | 17.7 | 0 4 0 |
| 48.33 | 63.3 | 2 2 4 |
| 49.08 | 14.6 | 4 0 0 |
| 56.86 | 30.3 | 2 4 2 |
| 57.20 | 14.5 | 0 2 6 |
| 57.87 | 27.5 | 4 2 2 |
| 80.67 | 18.4 | 4 4 4 |